Calculated XRD peak list
Compound: Sr2TaIrN2O4
Radiation: Cu Kα X-rays
Structure: a DFT-relaxed cell (PBE, OQMD)
Peak positions follow from Bragg's law for the DFT cell and can differ from measured ones.

Structural model:
a = 5.634 Å, b = 5.643 Å, c = 7.991 Å
α = 90.16°, β = 90.12°, γ = 90.05°
Fractional positions:
Sr  0.000  0.000  0.000
Sr  0.008  0.003  0.492
Sr  0.498  0.521  0.001
Sr  0.507  0.524  0.492
Ta  0.003  0.512  0.736
Ta  0.504  0.026  0.242
Ir  0.004  0.491  0.252
Ir  0.504  0.018  0.758
N  0.003  0.496  0.497
N  0.249  0.263  0.238
N  0.504  0.002  0.994
N  0.754  0.269  0.237
O  0.006  0.542  0.995
O  0.217  0.232  0.762
O  0.260  0.756  0.261
O  0.288  0.730  0.740
O  0.504  0.032  0.503
O  0.719  0.304  0.762
O  0.757  0.764  0.260
O  0.791  0.801  0.740

Principal peaks in the range 2θ from 15° to 90°, in order of rising 2θ:
| Position (°2θ) | I_rel | hkl |
| --- | --- | --- |
| 22.28 | 34 | 0 0 2 |
| 31.69 | 100 | 1 -1 2 |
| 31.76 | 51 | 2 0 0 |
| 45.44 | 27 | 0 0 4 |
| 45.52 | 14 | 2 2 0 |
| 51.22 | 8 | 3 1 0 |
| 56.41 | 20 | 2 0 -4 |
| 56.53 | 35 | -3 1 2 |
| 66.37 | 8 | 4 0 0 |
| 75.34 | 15 | 4 -2 0 |